[1]
Computed XRD peak list
Compound: MgMn12O17F7
Radiation: Cu Kα (weighted mean of Kα1 and Kα2)
Structure: a cell relaxed with GGA+U

Peak list (12 most intense, 2θ from 15° to 90°, sorted by position)
| 2θ (°) | d/Å | Rel. int. |
| --- | --- | --- |
| 23.9 | 3.717 | 60 |
| 24.6 | 3.618 | 66 |
| 29.0 | 3.083 | 97 |
| 30.4 | 2.945 | 100 |
| 30.7 | 2.912 | 75 |
| 31.0 | 2.887 | 73 |
| 36.0 | 2.493 | 31 |
| 41.3 | 2.187 | 40 |
| 41.7 | 2.166 | 52 |
| 51.2 | 1.783 | 43 |
| 51.6 | 1.773 | 55 |
| 54.5 | 1.683 | 41 |

Cell and atoms:
```
data_MgMn12O17F7
_chemical_formula_sum 'Mg1 Mn12 O17 F7'
_space_group_name_H-M_alt 'P 1'
_space_group_IT_number 1
_cell_length_a 4.7930
_cell_length_b 5.7152
_cell_length_c 14.9909
_cell_angle_alpha 87.43
_cell_angle_beta 86.96
_cell_angle_gamma 88.29
loop_
_space_group_symop_operation_xyz
'x,y,z'
loop_
_atom_site_label
_atom_site_fract_x
_atom_site_fract_y
_atom_site_fract_z
_atom_site_occupancy
Mg1 0.0000 0.0000 0.0000 1
Mn1 0.0056 0.2903 0.1666 1
Mn2 0.4163 0.7168 0.8231 1
Mn3 0.4472 0.7406 0.4961 1
Mn4 0.4513 0.0718 0.6562 1
Mn5 0.4615 0.1042 0.3355 1
Mn6 0.4729 0.2615 0.9911 1
Mn7 0.4795 0.7813 0.1679 1
Mn8 0.9557 0.2381 0.8112 1
Mn9 0.9563 0.5304 0.9790 1
Mn10 0.9696 0.5389 0.6510 1
Mn11 0.9762 0.2892 0.4864 1
Mn12 0.9898 0.5726 0.3219 1
O1 0.1556 0.2628 0.9230 1
O2 0.1579 0.4970 0.7596 1
O3 0.1763 0.7574 0.9255 1
O4 0.1875 0.3083 0.5921 1
O5 0.1929 0.5274 0.4282 1
O6 0.2247 0.3419 0.2654 1
O7 0.2402 0.7867 0.6045 1
O8 0.2450 0.0042 0.7673 1
O9 0.2445 0.0441 0.4413 1
O10 0.2450 0.8260 0.2729 1
O11 0.2752 0.0622 0.0945 1
O12 0.6516 0.4763 0.8939 1
O13 0.7362 0.2835 0.7104 1
O14 0.7460 0.5297 0.5474 1
O15 0.7628 0.3191 0.3816 1
O16 0.7849 0.5633 0.2147 1
O17 0.7956 0.2850 0.0567 1
F1 0.2616 0.5394 0.0826 1
F2 0.6997 0.7673 0.7186 1
F3 0.7035 0.0613 0.2250 1
F4 0.7076 0.7985 0.3844 1
F5 0.7086 0.0155 0.8958 1
F6 0.7159 0.0458 0.5457 1
F7 0.7403 0.7780 0.0552 1
```

=====

[2]
Computed XRD peak list
Compound: Na2FeO3
Radiation: Cu Kα (weighted mean of Kα1 and Kα2)
Structure: a cell relaxed with GGA+U

Peak list (12 most intense, 2θ from 15° to 90°, sorted by position)
| 2θ (°) | d/Å | Rel. int. |
| --- | --- | --- |
| 17.5 | 5.081 | 75 |
| 21.5 | 4.132 | 13 |
| 29.9 | 2.986 | 13 |
| 33.9 | 2.647 | 35 |
| 35.5 | 2.530 | 13 |
| 35.5 | 2.526 | 13 |
| 38.8 | 2.323 | 68 |
| 41.0 | 2.200 | 100 |
| 57.2 | 1.611 | 14 |
| 57.7 | 1.598 | 47 |
| 57.8 | 1.596 | 15 |
| 69.2 | 1.358 | 13 |

Cell and atoms:
```
data_Na2FeO3
_chemical_formula_sum 'Na8 Fe4 O12'
_space_group_name_H-M_alt 'P 1'
_space_group_IT_number 1
_cell_length_a 5.6517
_cell_length_b 5.6547
_cell_length_c 9.5932
_cell_angle_alpha 101.10
_cell_angle_beta 100.92
_cell_angle_gamma 110.53
loop_
_space_group_symop_operation_xyz
'x,y,z'
loop_
_atom_site_label
_atom_site_fract_x
_atom_site_fract_y
_atom_site_fract_z
_atom_site_occupancy
Na1 0.0000 0.0000 0.0000 1
Na2 0.0747 0.5744 0.1463 1
Na3 0.1593 0.1593 0.3171 1
Na4 0.3240 0.3251 0.6463 1
Na5 0.5870 0.0864 0.1707 1
Na6 0.7499 0.2517 0.4999 1
Na7 0.8340 0.8356 0.6707 1
Na8 0.9114 0.4082 0.8171 1
Fe1 0.2466 0.7445 0.4870 1
Fe2 0.4128 0.9223 0.8298 1
Fe3 0.4960 0.4976 0.9871 1
Fe4 0.6681 0.6667 0.3300 1
O1 0.1399 0.6411 0.6589 1
O2 0.2195 0.1912 0.8489 1
O3 0.2801 0.7528 0.9676 1
O4 0.3908 0.3905 0.1581 1
O5 0.4041 0.8847 0.3489 1
O6 0.5026 0.5284 0.4676 1
O7 0.5220 0.0233 0.6581 1
O8 0.6375 0.6496 0.8495 1
O9 0.6947 0.2123 0.9678 1
O10 0.7740 0.7736 0.1590 1
O11 0.9445 0.4693 0.3493 1
O12 0.9626 0.9445 0.4681 1
```

=====

[3]
Computed XRD peak list
Compound: AlV2O4
Radiation: Cu Kα (weighted mean of Kα1 and Kα2)
Structure: a cell relaxed with GGA+U

Peak list (12 most intense, 2θ from 15° to 90°, sorted by position)
| 2θ (°) | d/Å | Rel. int. |
| --- | --- | --- |
| 18.3 | 4.850 | 85 |
| 35.1 | 2.559 | 51 |
| 35.3 | 2.546 | 100 |
| 35.4 | 2.537 | 74 |
| 35.6 | 2.523 | 50 |
| 42.7 | 2.118 | 55 |
| 42.9 | 2.110 | 54 |
| 43.3 | 2.088 | 52 |
| 61.9 | 1.500 | 30 |
| 62.2 | 1.492 | 58 |
| 62.3 | 1.490 | 28 |
| 62.7 | 1.482 | 28 |

Cell and atoms:
```
data_AlV2O4
_chemical_formula_sum 'Al4 V8 O16'
_space_group_name_H-M_alt 'P 1'
_space_group_IT_number 1
_cell_length_a 5.9606
_cell_length_b 5.9648
_cell_length_c 10.2301
_cell_angle_alpha 73.82
_cell_angle_beta 89.81
_cell_angle_gamma 60.09
loop_
_space_group_symop_operation_xyz
'x,y,z'
loop_
_atom_site_label
_atom_site_fract_x
_atom_site_fract_y
_atom_site_fract_z
_atom_site_occupancy
Al1 0.0000 0.0000 0.0000 1
Al2 0.1047 0.7572 0.3723 1
Al3 0.4847 0.9992 0.5007 1
Al4 0.6172 0.7584 0.8710 1
V1 0.0493 0.3801 0.1865 1
V2 0.0524 0.3800 0.6866 1
V3 0.0523 0.8759 0.6866 1
V4 0.3157 0.3771 0.9370 1
V5 0.5507 0.3779 0.1854 1
V6 0.5535 0.3778 0.6855 1
V7 0.5533 0.8764 0.1861 1
V8 0.7886 0.3783 0.4377 1
O1 0.1717 0.1222 0.5604 1
O2 0.1770 0.6338 0.5590 1
O3 0.1864 0.6308 0.0653 1
O4 0.1906 0.1201 0.0621 1
O5 0.4144 0.6322 0.3066 1
O6 0.4312 0.1233 0.3124 1
O7 0.4323 0.6340 0.8073 1
O8 0.4356 0.1259 0.8091 1
O9 0.6694 0.6316 0.5634 1
O10 0.6697 0.6330 0.0592 1
O11 0.6726 0.1204 0.5649 1
O12 0.6912 0.1215 0.0663 1
O13 0.9128 0.6357 0.3128 1
O14 0.9148 0.1270 0.3082 1
O15 0.9298 0.1221 0.8130 1
O16 0.9322 0.6338 0.8139 1
```

=====

[4]
Computed XRD peak list
Compound: RbFeO2
Radiation: Cu Kα (weighted mean of Kα1 and Kα2)
Structure: a cell relaxed with GGA+U

Peak list (12 most intense, 2θ from 15° to 90°, sorted by position)
| 2θ (°) | d/Å | Rel. int. |
| --- | --- | --- |
| 16.1 | 5.491 | 19 |
| 19.3 | 4.607 | 66 |
| 27.1 | 3.294 | 31 |
| 27.2 | 3.282 | 62 |
| 29.4 | 3.040 | 81 |
| 30.0 | 2.977 | 100 |
| 31.5 | 2.841 | 33 |
| 34.6 | 2.594 | 23 |
| 41.3 | 2.186 | 26 |
| 44.9 | 2.019 | 36 |
| 47.9 | 1.898 | 29 |
| 49.8 | 1.830 | 27 |

Cell and atoms:
```
data_RbFeO2
_chemical_formula_sum 'Rb4 Fe4 O8'
_space_group_name_H-M_alt 'C 1 2/c 1'
_space_group_IT_number 15
_cell_length_a 7.8642
_cell_length_b 10.0212
_cell_length_c 5.2372
_cell_angle_alpha 90.00
_cell_angle_beta 123.42
_cell_angle_gamma 90.00
loop_
_space_group_symop_operation_xyz
'x,y,z'
'-x,-y,-z'
'-x,y,-z+1/2'
'x,-y,z+1/2'
'x+1/2,y+1/2,z'
'-x+1/2,-y+1/2,-z'
'-x+1/2,y+1/2,-z+1/2'
'x+1/2,-y+1/2,z+1/2'
loop_
_atom_site_label
_atom_site_fract_x
_atom_site_fract_y
_atom_site_fract_z
_atom_site_occupancy
Rb1 0.0000 0.1527 0.2500 1
Fe1 0.0000 0.4851 0.7500 1
O1 0.1550 0.4056 0.1465 1
```